Entry 1:
The following is a simulated XRD peak list of Ce9Al2Ag. It was derived from DFT lattice parameters and positions (GGA-PBE), using Cu Kα (weighted mean of Kα1 and Kα2).
Lines closer than 0.1° are merged.

```
Ce9Al2Ag
1.0
5.491 0.000 0.000
0.000 5.491 0.000
0.000 0.000 9.630
Ce Al Ag
9 2 1
Direct
0.000 0.000 0.000
0.000 0.000 0.334
0.000 0.000 0.666
0.000 0.500 0.167
0.000 0.500 0.500
0.000 0.500 0.833
0.500 0.000 0.167
0.500 0.000 0.500
0.500 0.000 0.833
0.500 0.500 0.337
0.500 0.500 0.663
0.500 0.500 0.000
```

Top 10 peaks for 10° ≤ 2θ ≤ 90°, by intensity:
2θ = 36.3°, I = 100
2θ = 32.6°, I = 67
2θ = 60.6°, I = 45
2θ = 46.8°, I = 24
2θ = 67.6°, I = 16
2θ = 16.1°, I = 11
2θ = 77.1°, I = 11
2θ = 77.8°, I = 11
2θ = 79.9°, I = 10
2θ = 68.3°, I = 8

***

Entry 2:
The following is a simulated XRD peak list of CeAlAg2. It was derived from DFT lattice parameters and positions (GGA-PBE), using Cu Kα (weighted mean of Kα1 and Kα2).
Lines closer than 0.1° are merged.

```
CeAlAg2
1.0
8.702 0.000 0.000
0.000 7.056 0.000
0.000 0.000 5.646
Ce Al Ag
4 4 8
Direct
0.062 0.250 0.152
0.438 0.750 0.652
0.562 0.250 0.348
0.938 0.750 0.848
0.107 0.750 0.345
0.393 0.250 0.845
0.607 0.750 0.155
0.893 0.250 0.655
0.176 0.048 0.627
0.176 0.452 0.627
0.324 0.548 0.127
0.324 0.952 0.127
0.676 0.048 0.873
0.676 0.452 0.873
0.824 0.548 0.373
0.824 0.952 0.373
```

Top 10 peaks for 10° ≤ 2θ ≤ 90°, by intensity:
2θ = 36.4°, I = 100
2θ = 33.4°, I = 81
2θ = 32.7°, I = 73
2θ = 35.8°, I = 72
2θ = 24.0°, I = 53
2θ = 31.6°, I = 53
2θ = 44.6°, I = 50
2θ = 34.8°, I = 49
2θ = 28.8°, I = 48
2θ = 41.6°, I = 41

***

Entry 3:
The following is a simulated XRD peak list of CeAl3Ag. It was derived from DFT lattice parameters and positions (GGA-PBE), using Cu Kα (weighted mean of Kα1 and Kα2).
Lines closer than 0.1° are merged.

```
CeAl3Ag
1.0
4.313 0.000 0.000
0.000 4.313 0.000
0.000 0.000 11.050
Ce Al Ag
2 6 2
Direct
0.000 0.000 0.000
0.500 0.500 0.500
0.000 0.000 0.591
0.000 0.500 0.236
0.000 0.500 0.736
0.500 0.000 0.236
0.500 0.000 0.736
0.500 0.500 0.091
0.000 0.000 0.365
0.500 0.500 0.865
```

Top 10 peaks for 10° ≤ 2θ ≤ 90°, by intensity:
2θ = 32.0°, I = 100
2θ = 33.6°, I = 69
2θ = 29.3°, I = 55
2θ = 41.9°, I = 45
2θ = 53.6°, I = 45
2θ = 46.2°, I = 36
2θ = 22.1°, I = 29
2θ = 16.0°, I = 28
2θ = 64.1°, I = 26
2θ = 71.2°, I = 15

***

Entry 4:
The following is a simulated XRD peak list of Ce3Al8Ag. It was derived from DFT lattice parameters and positions (GGA-PBE), using Cu Kα (weighted mean of Kα1 and Kα2).
Lines closer than 0.1° are merged.

```
Ce3Al8Ag
1.0
2.785 1.608 9.066
-2.785 1.608 9.066
0.000 -3.215 9.066
Ce Al Ag
3 8 1
Direct
0.000 0.000 0.000
0.130 0.130 0.130
0.622 0.622 0.622
0.063 0.565 0.565
0.064 0.064 0.566
0.064 0.566 0.064
0.314 0.314 0.314
0.565 0.063 0.565
0.565 0.565 0.063
0.566 0.064 0.064
0.814 0.814 0.814
0.496 0.496 0.496
```

Top 10 peaks for 10° ≤ 2θ ≤ 90°, by intensity:
2θ = 37.9°, I = 100
2θ = 32.2°, I = 94
2θ = 19.5°, I = 54
2θ = 57.3°, I = 27
2θ = 61.2°, I = 23
2θ = 67.2°, I = 11
2θ = 67.4°, I = 10
2θ = 50.5°, I = 9
2θ = 61.3°, I = 8
2θ = 57.5°, I = 8

***

Entry 5:
The following is a simulated XRD peak list of CeAlCuAg. It was derived from DFT lattice parameters and positions (GGA-PBE), using Cu Kα (weighted mean of Kα1 and Kα2).
Lines closer than 0.1° are merged.

```
CeAlCuAg
1.0
6.800 0.000 0.000
0.000 6.800 0.000
0.000 0.000 6.800
Ce Al Cu Ag
4 4 4 4
Direct
0.000 0.000 0.000
0.000 0.500 0.500
0.500 0.000 0.500
0.500 0.500 0.000
0.000 0.000 0.500
0.000 0.500 0.000
0.500 0.000 0.000
0.500 0.500 0.500
0.250 0.250 0.750
0.250 0.750 0.250
0.750 0.250 0.250
0.750 0.750 0.750
0.250 0.250 0.250
0.250 0.750 0.750
0.750 0.250 0.750
0.750 0.750 0.250
```

Top 9 peaks for 10° ≤ 2θ ≤ 90°, by intensity:
2θ = 37.4°, I = 100
2θ = 67.5°, I = 33
2θ = 22.6°, I = 29
2θ = 53.9°, I = 17
2θ = 44.2°, I = 15
2θ = 79.8°, I = 10
2θ = 59.2°, I = 6
2θ = 84.2°, I = 5
2θ = 72.2°, I = 5

***

Entry 6:
The following is a simulated XRD peak list of CeMgAl2Ag4. It was derived from DFT lattice parameters and positions (GGA-PBE), using Cu Kα (weighted mean of Kα1 and Kα2).
Lines closer than 0.1° are merged.

```
CeMgAl2Ag4
1.0
2.278 1.315 8.812
-2.278 1.315 8.812
0.000 -2.630 8.812
Ce Mg Al Ag
1 1 2 4
Direct
0.000 0.000 0.000
0.500 0.500 0.500
0.247 0.247 0.247
0.753 0.753 0.753
0.130 0.130 0.130
0.398 0.398 0.398
0.602 0.602 0.602
0.870 0.870 0.870
```

Top 10 peaks for 10° ≤ 2θ ≤ 90°, by intensity:
2θ = 39.6°, I = 100
2θ = 35.4°, I = 84
2θ = 32.8°, I = 46
2θ = 67.2°, I = 25
2θ = 28.2°, I = 25
2θ = 26.3°, I = 25
2θ = 54.1°, I = 24
2θ = 23.5°, I = 23
2θ = 69.1°, I = 22
2θ = 71.8°, I = 16

***

Entry 7:
The following is a simulated XRD peak list of AlAgCl. It was derived from DFT lattice parameters and positions (GGA-PBE), using Cu Kα (weighted mean of Kα1 and Kα2).
Lines closer than 0.1° are merged.

```
AlAgCl
1.0
3.212 0.000 0.000
0.000 3.212 0.000
0.000 0.000 11.463
Al Ag Cl
2 2 2
Direct
0.000 0.000 0.000
0.500 0.500 0.500
0.000 0.000 0.631
0.500 0.500 0.131
0.000 0.000 0.342
0.500 0.500 0.842
```

Top 10 peaks for 10° ≤ 2θ ≤ 90°, by intensity:
2θ = 36.5°, I = 100
2θ = 28.9°, I = 53
2θ = 15.5°, I = 46
2θ = 39.7°, I = 45
2θ = 70.0°, I = 27
2θ = 31.2°, I = 17
2θ = 48.8°, I = 16
2θ = 42.8°, I = 16
2θ = 51.3°, I = 15
2θ = 57.4°, I = 14

***

Entry 8:
The following is a simulated XRD peak list of Al2AgCl. It was derived from DFT lattice parameters and positions (GGA-PBE), using Cu Kα (weighted mean of Kα1 and Kα2).
Lines closer than 0.1° are merged.

```
Al2AgCl
1.0
5.039 0.000 0.000
0.000 5.039 0.000
0.000 0.000 2.862
Al Ag Cl
2 1 1
Direct
0.000 0.500 0.000
0.500 0.000 0.000
0.000 0.000 0.500
0.500 0.500 0.000
```

Top 10 peaks for 10° ≤ 2θ ≤ 90°, by intensity:
2θ = 36.1°, I = 100
2θ = 35.6°, I = 97
2θ = 17.6°, I = 75
2θ = 51.6°, I = 67
2θ = 40.4°, I = 57
2θ = 25.0°, I = 54
2θ = 51.3°, I = 32
2θ = 67.2°, I = 25
2θ = 40.0°, I = 21
2θ = 75.7°, I = 20

***

What did the eighth record say?
The following is a simulated XRD peak list of Al2AgCl. It was derived from DFT lattice parameters and positions (GGA-PBE), using Cu Kα (weighted mean of Kα1 and Kα2).
Lines closer than 0.1° are merged.

```
Al2AgCl
1.0
5.039 0.000 0.000
0.000 5.039 0.000
0.000 0.000 2.862
Al Ag Cl
2 1 1
Direct
0.000 0.500 0.000
0.500 0.000 0.000
0.000 0.000 0.500
0.500 0.500 0.000
```

Top 10 peaks for 10° ≤ 2θ ≤ 90°, by intensity:
2θ = 36.1°, I = 100
2θ = 35.6°, I = 97
2θ = 17.6°, I = 75
2θ = 51.6°, I = 67
2θ = 40.4°, I = 57
2θ = 25.0°, I = 54
2θ = 51.3°, I = 32
2θ = 67.2°, I = 25
2θ = 40.0°, I = 21
2θ = 75.7°, I = 20